Starting from DFT lattice parameters and positions (PBE+U), the powder diffraction line list of Na3Ni2P2C2O14 was simulated for Cu Kα, 1.54184 Å.
No peak broadening, texture or thermal motion is included.

The 8 most intense peaks (5 to 70 degrees two-theta), by intensity:
Position (°2θ), I/Imax, index
9.77, 100.0, 0 0 2
16.72, 35.0, 0 1 2
27.26, 30.8, 0 2 0
25.76, 25.0, 1 0 -4
33.78, 22.9, 1 2 -2
21.96, 18.1, 1 1 0
34.82, 17.7, 2 0 0
20.11, 15.7, 1 0 2

Structural model:
Cell lengths 5.1562, 6.5431, 18.1180 Å; angles 90.00, 91.92, 90.00 degrees
Space group Pc (No. 7)
Inequivalent atoms, fractional coordinates:
Na 0.0000 0.2203 0.0000
Na 0.4850 0.2598 0.7496
Na 0.4873 0.2674 0.2533
Ni 0.0300 0.0084 0.1976
Ni 0.4534 0.4898 0.5493
P 0.5290 0.0075 0.0878
P 0.9594 0.4952 0.6603
C 0.5213 0.4970 0.9144
C 0.9693 0.0053 0.8319
O 0.0334 0.3209 0.2112
O 0.0435 0.3047 0.7056
O 0.0952 0.4898 0.0862
O 0.1956 0.0015 0.3019
O 0.2955 0.4995 0.4437
O 0.3936 0.0117 0.1631
O 0.4487 0.1920 0.0388
O 0.4560 0.1830 0.5423
O 0.5529 0.4925 0.8458
O 0.6570 0.4941 0.6465
O 0.7105 0.4991 0.9636
O 0.7758 0.0012 0.2832
O 0.8278 0.0188 0.1046
O 0.9389 0.0176 0.8995